Starting from a cell relaxed with GGA-PBE, the XRD peak list of CaThZn4 was simulated for Cu Kα, 1.54184 Å.

Top 10 peaks for 10° ≤ 2θ ≤ 80°, low angle first:
11.73°, I 48; 21.77°, I 24; 27.52°, I 44; 32.13°, I 100; 36.56°, I 61; 42.65°, I 41; 47.32°, I 30; 57.40°, I 33; 65.58°, I 22; 71.46°, I 19

Cell and atoms:
```
CaThZn4
1.0
-2.120 2.120 7.542
2.120 -2.120 7.542
2.120 2.120 -7.542
Ca Th Zn
1 1 4
Cartesian
0.000 0.000 0.000
0.000 2.120 3.771
2.120 0.000 2.533
2.120 0.000 5.009
0.000 0.000 6.286
0.000 0.000 8.798
```



Starting from a cell relaxed with GGA-PBE, the XRD peak list of Ca2ThZn6 was simulated for Cu Kα, 1.54184 Å.

Top 10 peaks for 10° ≤ 2θ ≤ 80°, low angle first:
12.92°, I 52; 26.01°, I 12; 28.14°, I 20; 33.78°, I 100; 34.63°, I 11; 39.45°, I 65; 43.12°, I 12; 52.89°, I 31; 66.38°, I 26; 67.94°, I 25

Cell and atoms:
```
Ca2ThZn6
1.0
7.912 0.000 0.000
-3.956 6.852 0.000
0.000 0.000 3.578
Ca Th Zn
2 1 6
Cartesian
0.000 4.568 0.000
3.956 2.284 0.000
0.000 0.000 0.000
-1.328 2.300 1.789
-2.628 4.552 1.789
2.656 0.000 1.789
1.328 2.300 1.789
5.257 0.000 1.789
2.628 4.552 1.789
```



Starting from a cell relaxed with GGA-PBE, the XRD peak list of Ca4Ti was simulated for Cu Kα, 1.54184 Å.

Top 10 peaks for 10° ≤ 2θ ≤ 80°, low angle first:
14.90°, I 28; 21.14°, I 24; 25.96°, I 63; 30.07°, I 100; 33.72°, I 14; 43.04°, I 69; 50.95°, I 25; 53.39°, I 23; 70.90°, I 27; 78.90°, I 19

Cell and atoms:
```
Ca4Ti
1.0
5.944 0.000 0.000
0.000 5.944 0.000
0.000 0.000 5.944
Ca Ti
4 1
Cartesian
0.000 0.000 0.000
0.000 2.972 2.972
2.972 0.000 2.972
2.972 2.972 0.000
2.972 2.972 2.972
```